Theoretical powder diffractogram
Compound: Th4PaGe5
Radiation: Cu Kα, 1.54184 Å
Structure: a crystal structure in Alexandria, relaxed with PBE
Intensities are scaled so that the largest is 100.

Crystal structure
```
data_Th4PaGe5
_symmetry_space_group_name_H-M 'I 4/m'
_symmetry_Int_Tables_number 87
_symmetry_space_group_name_Hall '-I 4'
_cell_length_a 9.552
_cell_length_b 9.552
_cell_length_c 6.042
_cell_angle_alpha 90.00
_cell_angle_beta 90.00
_cell_angle_gamma 90.00
loop_
_atom_site_label
_atom_site_type_symbol
_atom_site_fract_x
_atom_site_fract_y
_atom_site_fract_z
Th1 Th 0.098 0.301 0.000
Pa1 Pa 0.000 0.000 0.500
Ge1 Ge 0.000 0.000 0.000
Ge2 Ge 0.097 0.291 0.500
```

The 10 most intense peaks (15° ≤ 2θ ≤ 90°), by angle:
(2 1 1), d 3.488, I = 46.4; (0 0 2), d 3.021, I = 100.0; (1 3 2), d 2.136, I = 76.6; (5 0 1), d 1.822, I = 24.3; (4 2 2), d 1.744, I = 27.4; (0 0 4), d 1.510, I = 12.9; (6 3 1), d 1.386, I = 10.4; (1 3 4), d 1.351, I = 35.5; (4 2 4), d 1.233, I = 26.5; (4 7 1), d 1.163, I = 8.3